1.
Y5Mg13Cu5: computed powder X-ray diffraction pattern (CuKα), based on a structure optimized by DFT (PBE).
Lines closer than 0.1° are merged.

Unit cell a=4.154 b=19.047 c=25.548 alpha=90.00 beta=90.00 gamma=90.00
Space group Cmcm (No. 63)
Symmetry-distinct sites (fractional):
Y (0.000, 0.016, 0.106) x8
Y (0.000, 0.056, 0.250) x4
Y (0.000, 0.175, 0.644) x8
Mg (0.000, 0.117, 0.517) x8
Mg (0.000, 0.185, 0.158) x8
Mg (0.000, 0.267, 0.046) x8
Mg (0.000, 0.306, 0.750) x4
Mg (0.000, 0.307, 0.250) x4
Mg (0.000, 0.350, 0.571) x8
Mg (0.000, 0.447, 0.189) x8
Mg (0.000, 0.500, 0.000) x4
Cu (0.000, 0.100, 0.750) x4
Cu (0.000, 0.404, 0.085) x8
Cu (0.000, 0.407, 0.671) x8

Principal peaks in the range 2θ from 5° to 70°, by angle:
d_spacing, 2θ/deg, I (rel.)
12.774, 6.9, 399
9.524, 9.3, 528
6.371, 13.9, 380
2.791, 32.1, 275
2.693, 33.3, 667
2.570, 34.9, 1000
2.510, 35.8, 534
2.077, 43.6, 461

2.
SrB2S4: computed powder X-ray diffraction pattern (CuKα), based on a structure optimized by DFT (PBE).
Lines closer than 0.1° are merged.

Unit cell a=6.539 b=14.262 c=6.146 alpha=90.00 beta=109.52 gamma=90.00
Space group P2_1/c (No. 14)
Symmetry-distinct sites (fractional):
Sr (0.190, 0.104, 0.304) x4
B (0.272, 0.728, 0.821) x4
B (0.466, 0.584, 0.569) x4
S (0.087, 0.739, 0.009) x4
S (0.269, 0.008, 0.861) x4
S (0.373, 0.600, 0.831) x4
S (0.474, 0.196, 0.062) x4

Principal peaks in the range 2θ from 5° to 70°, by angle:
d_spacing, 2θ/deg, I (rel.)
4.496, 19.7, 508
3.764, 23.6, 807
3.541, 25.2, 654
3.042, 29.4, 517
2.898, 30.9, 640
2.586, 34.7, 969
2.544, 35.3, 562
2.498, 36.0, 1000